(1)
For SrSn3, a PBE-relaxed structure gives the calculated X-ray powder pattern in this record (Cu Ka).
Peak positions follow from Bragg's law for the DFT cell and can differ from measured ones.

```
SrSn3
1.0
4.880 0.000 0.000
0.000 4.880 0.000
0.000 0.000 4.880
Sr Sn
1 3
Cartesian
0.000 0.000 0.000 Sr
0.000 2.440 2.440 Sn
2.440 0.000 2.440 Sn
2.440 2.440 0.000 Sn
```

Top 10 peaks for 2θ from 10° to 90°, sorted by position:
d_spacing, 2theta, Rel. int.
4.880, 18.2, 1
3.451, 25.8, 1
2.818, 31.8, 100
2.440, 36.8, 51
1.726, 53.1, 36
1.472, 63.2, 43
1.409, 66.3, 13
1.220, 78.4, 6
1.120, 87.0, 19
1.091, 89.9, 18



(2)
For NaCaAsO4, a PBE-relaxed structure gives the calculated X-ray powder pattern in this record (Cu Ka).
Peak positions follow from Bragg's law for the DFT cell and can differ from measured ones.

```
NaCaAsO4
1.0
2.951 -4.651 0.000
2.951 4.651 0.000
0.000 0.000 7.278
Na Ca As O
2 2 2 8
Cartesian
2.951 2.964 5.459 Na
2.951 -2.964 1.820 Na
2.951 0.000 0.000 Ca
2.951 0.000 3.639 Ca
2.951 3.267 1.820 As
2.951 -3.267 5.459 As
1.397 0.340 5.459 O
2.951 2.297 0.418 O
2.951 2.297 3.222 O
1.397 -0.340 1.820 O
4.505 0.340 5.459 O
2.951 -2.297 4.057 O
2.951 -2.297 6.861 O
4.505 -0.340 1.820 O
```

Top 10 peaks for 2θ from 10° to 90°, sorted by position:
d_spacing, 2theta, Rel. int.
4.112, 21.6, 65
3.919, 22.7, 51
3.639, 24.5, 19
2.951, 30.3, 51
2.939, 30.4, 100
2.745, 32.6, 72
2.056, 44.0, 24
1.819, 50.2, 26
1.632, 56.4, 34
1.517, 61.1, 23



(3)
For LiCuPO4, a PBE-relaxed structure gives the calculated X-ray powder pattern in this record (Cu Ka).
Peak positions follow from Bragg's law for the DFT cell and can differ from measured ones.

```
LiCuPO4
1.0
4.894 0.000 0.000
0.000 9.763 0.000
-1.087 0.000 7.353
Li Cu P O
4 4 4 16
Cartesian
0.461 0.000 1.817 Li
0.129 0.514 5.758 Li
3.678 5.396 1.595 Li
3.347 4.881 5.536 Li
0.795 7.252 6.912 Cu
1.521 3.960 3.379 Cu
2.287 8.842 3.974 Cu
3.013 2.370 0.441 Cu
0.708 6.302 4.076 P
1.277 4.312 0.330 P
2.530 9.193 7.023 P
3.099 1.421 3.277 P
-0.851 9.298 7.221 O
-0.006 5.238 3.161 O
-0.119 6.434 5.391 O
0.888 7.656 3.346 O
0.913 3.554 6.529 O
1.694 3.374 1.552 O
1.901 5.691 0.693 O
1.726 0.738 2.997 O
2.082 5.620 4.356 O
1.906 0.810 6.660 O
2.113 8.256 5.801 O
2.895 8.436 0.824 O
2.920 2.774 4.007 O
3.927 1.553 1.962 O
3.813 0.357 4.192 O
4.659 4.416 0.133 O
```

Top 10 peaks for 2θ from 10° to 90°, sorted by position:
d_spacing, 2theta, Rel. int.
5.874, 15.1, 58
4.842, 18.3, 81
4.338, 20.5, 100
3.677, 24.2, 81
3.438, 25.9, 24
3.246, 27.5, 69
3.159, 28.3, 26
3.004, 29.7, 23
2.701, 33.2, 34
2.097, 43.1, 34



(4)
For Li3SbP2O8, a PBE-relaxed structure gives the calculated X-ray powder pattern in this record (Cu Ka).
Peak positions follow from Bragg's law for the DFT cell and can differ from measured ones.

```
Li3SbP2O8
1.0
4.311 -2.858 0.000
4.311 2.858 0.000
-0.178 0.000 6.324
Li Sb P O
3 1 2 8
Cartesian
0.000 0.000 0.000 Li
2.876 0.000 1.296 Li
5.567 0.000 5.028 Li
-0.089 0.000 3.162 Sb
2.907 0.000 4.677 P
5.536 0.000 1.647 P
1.881 0.000 5.810 O
3.883 1.252 4.791 O
2.241 0.000 3.283 O
4.561 1.252 1.533 O
3.883 -1.252 4.791 O
6.202 0.000 3.041 O
4.561 -1.252 1.533 O
6.563 0.000 0.514 O
```

Top 10 peaks for 2θ from 10° to 90°, sorted by position:
d_spacing, 2theta, Rel. int.
6.324, 14.0, 71
4.763, 18.6, 23
4.309, 20.6, 21
3.833, 23.2, 100
3.515, 25.3, 47
2.858, 31.3, 31
2.653, 33.8, 34
2.616, 34.3, 41
2.567, 35.0, 39
1.916, 47.4, 21